(1)
The following is a simulated powder XRD pattern of CaB8H4O15. It was derived from the GGA-PBE geometry in Alexandria, using Cu Ka.
Neutral-atom scattering factors, no anomalous dispersion.

The 8 most intense peaks (15° ≤ 2θ ≤ 90°), in order of falling intensity:
2θ/deg, intensity, (hkl)
21.0, 1000, 0 2 0
16.1, 646, 1 1 0
24.6, 236, 2 0 0
24.4, 210, 1 2 0
42.8, 209, 0 4 0
42.6, 202, 1 2 -4
37.3, 193, 3 0 0
24.8, 184, 1 2 -1

Structure:
```
data_CaB8H4O15
_cell_length_a 7.6077
_cell_length_b 8.4426
_cell_length_c 9.8297
_cell_angle_alpha 90.00
_cell_angle_beta 107.95
_cell_angle_gamma 90.00
_symmetry_space_group_name_H-M 'P 1 21 1'
_symmetry_Int_Tables_number 4
_symmetry_space_group_name_Hall 'P 2yb'
loop_
_atom_site_label
_atom_site_type_symbol
_atom_site_fract_x
_atom_site_fract_y
_atom_site_fract_z
_atom_site_occupancy
Ca1 Ca 0.0998 0.0000 0.2783 1
B1 B 0.0213 0.6696 0.4891 1
B2 B 0.0400 0.6600 0.0200 1
B3 B 0.0739 0.9112 0.9013 1
B4 B 0.0800 0.9133 0.6409 1
B5 B 0.1330 0.6235 0.2834 1
B6 B 0.3736 0.9305 0.8469 1
B7 B 0.4145 0.5190 0.7320 1
B8 B 0.4234 0.5360 0.4797 1
H1 H 0.3384 0.4803 0.9089 1
H2 H 0.3572 0.9660 0.5731 1
H3 H 0.3569 0.9831 0.1008 1
H4 H 0.3874 0.4879 0.1805 1
O1 O 0.0003 0.4814 0.2479 1
O2 O 0.0047 0.7549 0.6030 1
O3 O 0.0127 0.0036 0.0035 1
O4 O 0.0143 0.7469 0.8979 1
O5 O 0.0408 0.0159 0.5163 1
O6 O 0.0816 0.7308 0.3818 1
O7 O 0.1122 0.7190 0.1555 1
O8 O 0.2787 0.9218 0.9446 1
O9 O 0.2844 0.9095 0.7040 1
O10 O 0.2859 0.4924 0.8036 1
O11 O 0.3230 0.5632 0.3398 1
O12 O 0.3429 0.5490 0.5875 1
O13 O 0.3935 0.9920 0.4856 1
O14 O 0.3972 0.0183 0.2045 1
O15 O 0.4396 0.4625 0.1024 1
```

***

(2)
The following is a simulated powder XRD pattern of CaB2H12O10. It was derived from the GGA-PBE geometry in Alexandria, using Cu Ka.
Neutral-atom scattering factors, no anomalous dispersion.

The 8 most intense peaks (15° ≤ 2θ ≤ 90°), in order of falling intensity:
2θ/deg, intensity, (hkl)
26.7, 1000, 2 1 0
35.9, 787, 0 2 2
36.5, 671, 1 1 -3
39.5, 395, 1 2 2
26.8, 367, 1 1 -2
46.3, 288, 3 2 -2
37.4, 256, 3 1 0
22.6, 252, 1 1 1

Structure:
```
data_CaB2H12O10
_cell_length_a 8.0079
_cell_length_b 6.5684
_cell_length_c 7.9847
_cell_angle_alpha 90.00
_cell_angle_beta 104.15
_cell_angle_gamma 90.00
_symmetry_space_group_name_H-M 'P 1 2/c 1'
_symmetry_Int_Tables_number 13
_symmetry_space_group_name_Hall '-P 2yc'
loop_
_atom_site_label
_atom_site_type_symbol
_atom_site_fract_x
_atom_site_fract_y
_atom_site_fract_z
_atom_site_occupancy
Ca1 Ca 0.0000 0.0304 0.2500 1
B1 B 0.1856 0.2768 0.5685 1
H1 H 0.0810 0.3414 0.0138 1
H2 H 0.2186 0.4719 0.2443 1
H3 H 0.3376 0.1669 0.8061 1
H4 H 0.3570 0.2324 0.4162 1
H5 H 0.3640 0.3287 0.0735 1
H6 H 0.3776 0.0899 0.0966 1
O1 O 0.0026 0.2262 0.9667 1
O2 O 0.2267 0.4878 0.6274 1
O3 O 0.2307 0.2541 0.4003 1
O4 O 0.2710 0.1179 0.6918 1
O5 O 0.4207 0.2059 0.0388 1
```

***

(3)
The following is a simulated powder XRD pattern of CaBHO3. It was derived from the GGA-PBE geometry in Alexandria, using Cu Ka.
Neutral-atom scattering factors, no anomalous dispersion.

The 8 most intense peaks (15° ≤ 2θ ≤ 90°), in order of falling intensity:
2θ/deg, intensity, (hkl)
34.0, 1000, 1 2 -2
30.0, 725, 0 2 2
29.9, 582, 1 1 -2
32.6, 409, 1 2 0
47.6, 352, 1 4 -2
40.2, 316, 0 2 3
43.7, 287, 1 3 1
23.4, 274, 0 0 2

Structure:
```
data_CaBHO3
_cell_length_a 3.5962
_cell_length_b 9.5989
_cell_length_c 8.1752
_cell_angle_alpha 90.00
_cell_angle_beta 111.58
_cell_angle_gamma 90.00
_symmetry_space_group_name_H-M 'P 1 21/c 1'
_symmetry_Int_Tables_number 14
_symmetry_space_group_name_Hall '-P 2ybc'
loop_
_atom_site_label
_atom_site_type_symbol
_atom_site_fract_x
_atom_site_fract_y
_atom_site_fract_z
_atom_site_occupancy
Ca1 Ca 0.0779 0.0072 0.2886 1
B1 B 0.2869 0.2373 0.0733 1
H1 H 0.2052 0.7397 0.6514 1
O1 O 0.0074 0.6692 0.5708 1
O2 O 0.3097 0.1197 0.5734 1
O3 O 0.4824 0.6536 0.2914 1
```